# Pm4Zn2Ga5
Calculated powder diffractogram, a wavelength of 1.5418 Å. Input: a DFT-relaxed cell (GGA-PBE, Alexandria).
Peak positions follow from Bragg's law for the DFT cell and can differ from measured ones.

Crystal structure
```
Pm4Zn2Ga5
1.0
7.250 0.000 0.000
0.000 3.771 0.000
-0.697 0.000 9.241
Pm Zn Ga
4 2 5
Direct
0.187 0.000 0.386 Pm
0.273 0.000 0.928 Pm
0.727 0.000 0.072 Pm
0.813 0.000 0.614 Pm
0.062 0.500 0.132 Zn
0.938 0.500 0.868 Zn
0.183 0.500 0.663 Ga
0.436 0.500 0.203 Ga
0.500 0.500 0.500 Ga
0.564 0.500 0.797 Ga
0.817 0.500 0.337 Ga
```

Main lines, by intensity (2θ from 10° to 90°):
| (hkl) | two_theta | Rel. int. |
| --- | --- | --- |
| 1 1 -2 | 32.50 | 100 |
| 1 1 2 | 33.63 | 81 |
| 2 1 0 | 34.37 | 71 |
| 1 0 -4 | 40.07 | 44 |
| 2 0 3 | 39.85 | 41 |
| 0 2 0 | 48.28 | 39 |
| 3 0 -1 | 37.87 | 39 |
| 2 1 1 | 36.28 | 30 |
| 2 1 -2 | 38.70 | 29 |
| 0 1 2 | 30.61 | 28 |